The following is a simulated powder X-ray diffraction pattern of Li3Co2Ni3O10. It was derived from a cell relaxed with PBE+U, using Cu Kα (weighted mean of Kα1 and Kα2).
No peak broadening, texture or thermal motion is included.

a = 5.842 Å, b = 2.874 Å, c = 20.680 Å
α = 90.00°, β = 97.56°, γ = 90.00°
Space group P2/m (No. 10)
Symmetry-distinct sites (fractional):
Li1 0.100 0.000 0.200 x2
Li2 0.110 0.500 0.695 x2
Li3 0.312 0.500 0.096 x2
Co1 0.000 0.000 0.000 x1
Co2 0.000 0.500 0.500 x1
Co3 0.210 0.000 0.403 x2
Ni1 0.208 0.500 0.902 x2
Ni2 0.399 0.000 0.799 x2
Ni3 0.405 0.500 0.302 x2
O1 0.006 0.500 0.596 x2
O2 0.027 0.000 0.092 x2
O3 0.167 0.500 0.800 x2
O4 0.171 0.000 0.310 x2
O5 0.213 0.000 0.494 x2
O6 0.213 0.500 0.001 x2
O7 0.367 0.500 0.201 x2
O8 0.368 0.000 0.708 x2
O9 0.414 0.500 0.400 x2
O10 0.431 0.000 0.891 x2

Peak list (12 most intense, 2θ from 15° to 90°, low angle first)
2theta  Rel. int.  hkl
18.56  100  1 0 2
36.43  13  1 0 -8
36.57  25  1 1 -3
38.25  8  0 1 5
44.20  58  2 1 -1
48.43  8  1 1 7
58.25  14  3 1 1
63.72  5  4 0 -2
64.04  10  2 1 9
64.53  11  2 1 -11
64.90  5  0 2 0
67.72  5  3 1 -9

The following is a simulated powder X-ray diffraction pattern of Li5Cr2Co5O12. It was derived from a cell relaxed with PBE+U, using Cu Kα (weighted mean of Kα1 and Kα2).
No peak broadening, texture or thermal motion is included.

a = 5.102 Å, b = 8.935 Å, c = 9.855 Å
α = 90.00°, β = 100.35°, γ = 90.00°
Space group C2 (No. 5)
Symmetry-distinct sites (fractional):
Li1 0.000 0.000 0.000 x2
Li2 0.250 0.338 0.759 x4
Li3 0.250 0.492 0.245 x4
Cr1 0.000 0.158 0.500 x2
Cr2 0.000 0.666 0.000 x2
Co1 0.000 0.336 0.000 x2
Co2 0.000 0.491 0.500 x2
Co3 0.000 0.828 0.500 x2
Co4 0.244 0.161 0.244 x4
O1 0.115 0.502 0.884 x4
O2 0.119 0.323 0.385 x4
O3 0.126 0.653 0.385 x4
O4 0.130 0.003 0.379 x4
O5 0.132 0.178 0.884 x4
O6 0.140 0.821 0.881 x4

Peak list (12 most intense, 2θ from 15° to 90°, low angle first)
2theta  Rel. int.  hkl
18.30  39  0 0 2
19.87  19  0 2 0
20.93  22  1 1 -1
23.58  28  1 1 1
37.11  42  0 0 4
43.00  100  1 3 -3
43.49  49  2 0 2
62.36  14  0 6 0
62.53  14  2 0 -6
62.69  27  1 3 5
62.94  27  3 3 -1
79.05  19  2 6 2